[1]
Starting from a crystal structure in the Materials Project, relaxed with PBE+U, the PXRD pattern of Li9Mn2Co5O16 was simulated for Cu Kα (weighted mean of Kα1 and Kα2).
Lines closer than 0.1° are merged.

Largest 10 diffraction maxima, by angle, 5° ≤ 2θ ≤ 70°:
d [Å]	I_rel
13.060	11
9.795	10
4.897	100
2.595	18
2.474	25
2.165	32
2.062	55
1.926	15
1.600	9
1.493	32

abc: 2.989 2.989 39.184
angles: 90.71 90.71 57.33
Positions (direct):
1 Li 0.000 0.000 0.000
2 Li 0.126 0.126 0.376
3 Li 0.238 0.238 0.746
4 Li 0.374 0.374 0.123
5 Li 0.503 0.503 0.500
6 Li 0.565 0.565 0.687
7 Li 0.629 0.629 0.878
8 Li 0.753 0.753 0.252
9 Li 0.887 0.887 0.626
10 Mn 0.064 0.064 0.187
11 Mn 0.937 0.937 0.813
12 Co 0.188 0.188 0.562
13 Co 0.314 0.314 0.938
14 Co 0.440 0.440 0.313
15 Co 0.687 0.687 0.062
16 Co 0.815 0.815 0.438
17 O 0.054 0.054 0.090
18 O 0.073 0.073 0.285
19 O 0.150 0.150 0.466
20 O 0.219 0.219 0.655
21 O 0.295 0.295 0.842
22 O 0.323 0.323 0.035
23 O 0.432 0.432 0.217
24 O 0.478 0.478 0.408
25 O 0.526 0.526 0.590
26 O 0.581 0.581 0.786
27 O 0.648 0.648 0.967
28 O 0.694 0.694 0.158
29 O 0.804 0.804 0.340
30 O 0.846 0.846 0.533
31 O 0.907 0.907 0.719
32 O 0.978 0.978 0.909

[2]
Starting from a crystal structure in the Materials Project, relaxed with PBE+U, the PXRD pattern of ErFe2O4 was simulated for Cu Kα (weighted mean of Kα1 and Kα2).
Lines closer than 0.1° are merged.

Largest 10 diffraction maxima, by angle, 5° ≤ 2θ ≤ 70°:
d [Å]	I_rel
8.462	62
4.231	39
2.997	100
2.821	47
2.726	88
2.594	76
1.943	46
1.742	54
1.554	31
1.482	38

abc: 8.698 8.698 8.698
angles: 23.11 23.11 23.11
Positions (direct):
1 Er 0.000 0.000 0.000
2 Fe 0.214 0.214 0.214
3 Fe 0.786 0.786 0.786
4 O 0.129 0.129 0.129
5 O 0.292 0.292 0.292
6 O 0.708 0.708 0.708
7 O 0.871 0.871 0.871

[3]
Starting from a crystal structure in the Materials Project, relaxed with PBE+U, the PXRD pattern of LiNdMo2O8 was simulated for Cu Kα (weighted mean of Kα1 and Kα2).
Lines closer than 0.1° are merged.

Largest 10 diffraction maxima, by angle, 5° ≤ 2θ ≤ 70°:
d [Å]	I_rel
5.220	29
4.747	32
4.391	38
3.925	22
3.225	100
3.026	23
3.000	72
2.989	33
2.489	19
1.879	21

abc: 5.107 6.053 11.093
angles: 90.00 111.63 90.00
Positions (direct):
1 Li 0.000 0.227 0.250
2 Li 0.000 0.773 0.750
3 Nd 0.500 0.287 0.750
4 Nd 0.500 0.713 0.250
5 Mo 0.265 0.181 0.028
6 Mo 0.265 0.819 0.528
7 Mo 0.735 0.181 0.472
8 Mo 0.735 0.819 0.972
9 O 0.133 0.107 0.592
10 O 0.133 0.893 0.092
11 O 0.214 0.370 0.142
12 O 0.214 0.630 0.642
13 O 0.301 0.362 0.907
14 O 0.301 0.638 0.407
15 O 0.374 0.080 0.380
16 O 0.374 0.920 0.880
17 O 0.626 0.080 0.120
18 O 0.626 0.920 0.620
19 O 0.699 0.362 0.593
20 O 0.699 0.638 0.093
21 O 0.786 0.370 0.358
22 O 0.786 0.630 0.858
23 O 0.867 0.107 0.908
24 O 0.867 0.893 0.408

[4]
Starting from a crystal structure in the Materials Project, relaxed with PBE+U, the PXRD pattern of MgV2O3F3 was simulated for Cu Kα (weighted mean of Kα1 and Kα2).
Lines closer than 0.1° are merged.

Largest 10 diffraction maxima, by angle, 5° ≤ 2θ ≤ 70°:
d [Å]	I_rel
3.964	100
3.790	87
3.633	91
2.816	40
2.801	37
2.709	47
2.668	31
1.982	32
1.895	28
1.796	32

abc: 5.093 5.161 5.452
angles: 115.47 92.29 117.19
Positions (direct):
1 Mg 0.000 0.000 0.000
2 V 0.334 0.611 0.871
3 V 0.796 0.615 0.399
4 O 0.004 0.568 0.694
5 O 0.606 0.762 0.680
6 O 0.678 0.734 0.142
7 F 0.061 0.457 0.154
8 F 0.183 0.124 0.672
9 F 0.421 0.119 0.166

[5]
Starting from a crystal structure in the Materials Project, relaxed with PBE+U, the PXRD pattern of Li2MnSe2O6 was simulated for Cu Kα (weighted mean of Kα1 and Kα2).
Lines closer than 0.1° are merged.

Largest 10 diffraction maxima, by angle, 5° ≤ 2θ ≤ 70°:
d [Å]	I_rel
5.932	100
4.229	61
3.265	69
2.861	79
2.775	78
2.514	73
2.019	27
1.992	28
1.633	36
1.618	25

abc: 6.744 5.551 9.613
angles: 90.00 118.39 90.00
Positions (direct):
1 Li 0.039 0.250 0.096
2 Li 0.039 0.750 0.596
3 Li 0.961 0.250 0.404
4 Li 0.961 0.750 0.904
5 Mn 0.500 0.249 0.250
6 Mn 0.500 0.751 0.750
7 Se 0.362 0.250 0.871
8 Se 0.362 0.750 0.371
9 Se 0.638 0.250 0.629
10 Se 0.638 0.750 0.129
11 O 0.244 0.496 0.749
12 O 0.244 0.504 0.249
13 O 0.245 0.003 0.749
14 O 0.245 0.250 0.996
15 O 0.245 0.750 0.496
16 O 0.245 0.997 0.249
17 O 0.755 0.003 0.751
18 O 0.755 0.250 0.504
19 O 0.755 0.750 0.004
20 O 0.755 0.997 0.251
21 O 0.756 0.496 0.751
22 O 0.756 0.504 0.251

[6]
Starting from a crystal structure in the Materials Project, relaxed with PBE+U, the PXRD pattern of Cr2As6O19 was simulated for Cu Kα (weighted mean of Kα1 and Kα2).
Lines closer than 0.1° are merged.

Largest 10 diffraction maxima, by angle, 5° ≤ 2θ ≤ 70°:
d [Å]	I_rel
4.408	100
4.344	14
4.058	13
3.670	59
3.334	26
3.220	29
2.793	13
2.510	23
2.498	38
2.316	16

abc: 11.451 13.336 5.115
angles: 90.00 90.00 90.00
Positions (direct):
1 Cr 0.000 0.000 0.000
2 Cr 0.000 0.500 0.000
3 Cr 0.500 0.000 0.000
4 Cr 0.500 0.500 0.000
5 As 0.110 0.130 0.491
6 As 0.110 0.370 0.491
7 As 0.250 0.633 0.060
8 As 0.250 0.867 0.060
9 As 0.390 0.130 0.491
10 As 0.390 0.370 0.491
11 As 0.610 0.630 0.509
12 As 0.610 0.870 0.509
13 As 0.750 0.133 0.940
14 As 0.750 0.367 0.940
15 As 0.890 0.630 0.509
16 As 0.890 0.870 0.509
17 O 0.018 0.119 0.235
18 O 0.018 0.381 0.235
19 O 0.089 0.250 0.637
20 O 0.118 0.052 0.747
21 O 0.118 0.448 0.747
22 O 0.128 0.572 0.177
23 O 0.128 0.928 0.177
24 O 0.250 0.136 0.341
25 O 0.250 0.364 0.341
26 O 0.250 0.666 0.733
27 O 0.250 0.750 0.231
28 O 0.250 0.834 0.733
29 O 0.372 0.572 0.177
30 O 0.372 0.928 0.177
31 O 0.382 0.052 0.747
32 O 0.382 0.448 0.747
33 O 0.411 0.250 0.637
34 O 0.482 0.119 0.235
35 O 0.482 0.381 0.235
36 O 0.518 0.619 0.765
37 O 0.518 0.881 0.765
38 O 0.589 0.750 0.363
39 O 0.618 0.552 0.253
40 O 0.618 0.948 0.253
41 O 0.628 0.072 0.823
42 O 0.628 0.428 0.823
43 O 0.750 0.166 0.267
44 O 0.750 0.250 0.769
45 O 0.750 0.334 0.267
46 O 0.750 0.636 0.659
47 O 0.750 0.864 0.659
48 O 0.872 0.072 0.823
49 O 0.872 0.428 0.823
50 O 0.882 0.552 0.253
51 O 0.882 0.948 0.253
52 O 0.911 0.750 0.363
53 O 0.982 0.619 0.765
54 O 0.982 0.881 0.765